For Eu6Er, a structure optimized by DFT (GGA-PBE) gives the computed X-ray powder pattern in this record (a wavelength of 1.5418 Å).
Lines closer than 0.1° are merged.

Main lines, in order of falling intensity (2θ from 10° to 80°):
26.22 deg, intensity 100, (2 1 1)
40.55 deg, intensity 63, (3 2 1)
21.35 deg, intensity 41, (2 0 0)
43.48 deg, intensity 34, (4 0 0)
37.42 deg, intensity 34, (2 2 2)
63.18 deg, intensity 23, (4 4 0)
69.62 deg, intensity 19, (6 1 1)
60.96 deg, intensity 19, (5 2 1)
48.93 deg, intensity 18, (4 2 0)
51.49 deg, intensity 16, (3 3 2)

Structural model:
```
data_Eu6Er
_chemical_formula_sum 'Eu12 Er2'
_symmetry_space_group_name_H-M 'I m -3 m'
_symmetry_Int_Tables_number 229
_symmetry_space_group_name_Hall '-I 4 2 3'
_cell_length_a 8.325
_cell_length_b 8.325
_cell_length_c 8.325
_cell_angle_alpha 90.00
_cell_angle_beta 90.00
_cell_angle_gamma 90.00
loop_
_atom_site_label
_atom_site_fract_x
_atom_site_fract_y
_atom_site_fract_z
Eu1 0.000 0.250 0.500
Er1 0.000 0.000 0.000
```



For La4PmHo3, a structure optimized by DFT (GGA-PBE) gives the computed X-ray powder pattern in this record (a wavelength of 1.5418 Å).
Lines closer than 0.1° are merged.

Main lines, in order of falling intensity (2θ from 10° to 80°):
29.98 deg, intensity 100, (1 2 2)
34.76 deg, intensity 51, (2 0 0)
49.97 deg, intensity 36, (2 4 0)
59.34 deg, intensity 29, (3 2 2)
59.46 deg, intensity 14, (1 2 6)
62.31 deg, intensity 12, (2 4 4)
73.30 deg, intensity 4, (4 0 0)
73.50 deg, intensity 2, (0 0 8)
35.87 deg, intensity 1, (1 2 3)
68.70 deg, intensity 1, (1 2 7)

Structural model:
```
data_La4PmHo3
_chemical_formula_sum 'La8 Pm2 Ho6'
_symmetry_space_group_name_H-M 'P m m n'
_symmetry_Int_Tables_number 59
_cell_length_a 5.166
_cell_length_b 10.333
_cell_length_c 10.308
_cell_angle_alpha 90.00
_cell_angle_beta 90.00
_cell_angle_gamma 90.00
loop_
_symmetry_equiv_pos_as_xyz
'x,y,z'
'-x,-y,-z'
'-x+1/2,-y+1/2,z'
'x+1/2,y+1/2,-z'
'x+1/2,-y,-z'
'-x+1/2,y,z'
'-x,y+1/2,-z'
'x,-y+1/2,z'
loop_
_atom_site_label
_atom_site_fract_x
_atom_site_fract_y
_atom_site_fract_z
La1 0.250 0.000 0.128
La2 0.250 0.250 0.870
La3 0.250 0.750 0.872
Pm1 0.250 0.250 0.383
Ho1 0.250 0.000 0.617
Ho2 0.250 0.750 0.382
```